No. 1
Theoretical XRD peak list of La3Nd2SmP6 for Cu Kα (weighted mean of Kα1 and Kα2), from a DFT-relaxed cell (PBE, Alexandria).
Peak positions follow from Bragg's law for the DFT cell and can differ from measured ones.

Cell and atoms:
Cell: 7.2940 12.6328 7.2981 Å, 90.00 109.45 90.00°
Space group C2/m (No. 12)
One atom of each set of equivalent atoms:
La 0.0000 0.0000 0.0000 [2 per cell]
La 0.0000 0.3330 0.0000 [4 per cell]
Nd 0.0000 0.1665 0.5000 [4 per cell]
Sm 0.0000 0.5000 0.5000 [2 per cell]
P 0.2471 0.3343 0.7444 [8 per cell]
P 0.2503 0.0000 0.7448 [4 per cell]

Principal peaks in the range 10 to 80 degrees two-theta, by angle:
2θ = 25.91°, I 78, hkl 2 0 0; 2θ = 30.00°, I 100, hkl 1 3 1; 2θ = 42.94°, I 74, hkl 2 0 2; 2θ = 50.84°, I 39, hkl 3 3 1; 2θ = 53.27°, I 26, hkl 4 0 0; 2θ = 70.73°, I 33, hkl 4 6 0

No. 2
Theoretical XRD peak list of Ho2Er9Th for Cu Kα (weighted mean of Kα1 and Kα2), from a DFT-relaxed cell (PBE, Alexandria).
Peak positions follow from Bragg's law for the DFT cell and can differ from measured ones.

Cell and atoms:
Cell: 4.9786 4.9786 14.8990 Å, 90.00 90.00 90.00°
Space group P4/mmm (No. 123)
One atom of each set of equivalent atoms:
Ho 0.0000 0.0000 0.1668 [2 per cell]
Er 0.0000 0.5000 0.0000 [2 per cell]
Er 0.0000 0.5000 0.3343 [4 per cell]
Er 0.5000 0.5000 0.1649 [2 per cell]
Er 0.5000 0.5000 0.5000 [1 per cell]
Th 0.0000 0.0000 0.5000 [1 per cell]

Principal peaks in the range 10 to 80 degrees two-theta, by angle:
2θ = 31.14°, I 100, hkl 1 1 3; 2θ = 36.11°, I 51, hkl 2 0 0; 2θ = 52.00°, I 36, hkl 2 2 0; 2θ = 61.82°, I 29, hkl 3 1 3; 2θ = 61.94°, I 14, hkl 1 1 9; 2θ = 64.94°, I 12, hkl 2 2 6

No. 3
Theoretical XRD peak list of KPdRhS2 for Cu Kα (weighted mean of Kα1 and Kα2), from a DFT-relaxed cell (PBE, Alexandria).
Peak positions follow from Bragg's law for the DFT cell and can differ from measured ones.

Cell and atoms:
Cell: 5.5621 13.2162 5.8722 Å, 90.00 90.00 90.00°
Space group Cmme (No. 67)
One atom of each set of equivalent atoms:
K 0.0000 0.2500 0.2407 [4 per cell]
Pd 0.0000 0.0000 0.0000 [4 per cell]
Rh 0.2500 0.0000 0.5000 [4 per cell]
S 0.0000 0.1114 0.7001 [8 per cell]

Principal peaks in the range 10 to 80 degrees two-theta, by angle:
2θ = 13.40°, I 100, hkl 0 2 0; 2θ = 26.99°, I 21, hkl 0 4 0; 2θ = 33.39°, I 39, hkl 0 2 2; 2θ = 35.72°, I 21, hkl 2 0 1; 2θ = 38.31°, I 38, hkl 2 2 1; 2θ = 45.33°, I 30, hkl 2 4 1

No. 4
Theoretical XRD peak list of Ba3In3Au2 for Cu Kα (weighted mean of Kα1 and Kα2), from a DFT-relaxed cell (PBE, Alexandria).
Peak positions follow from Bragg's law for the DFT cell and can differ from measured ones.

Cell and atoms:
Cell: 4.7640 12.2933 18.1564 Å, 90.00 90.00 90.00°
Space group Cmcm (No. 63)
One atom of each set of equivalent atoms:
Ba 0.0000 0.0449 0.1064 [8 per cell]
Ba 0.0000 0.3329 0.2500 [4 per cell]
In 0.0000 0.3306 0.0361 [8 per cell]
In 0.0000 0.3754 0.7500 [4 per cell]
Au 0.0000 0.2459 0.6154 [8 per cell]

Principal peaks in the range 10 to 80 degrees two-theta, by angle:
2θ = 14.41°, I 64, hkl 0 2 0; 2θ = 28.11°, I 89, hkl 1 1 4; 2θ = 28.74°, I 71, hkl 1 3 0; 2θ = 32.39°, I 100, hkl 1 3 3; 2θ = 35.27°, I 63, hkl 0 4 4; 2θ = 37.77°, I 64, hkl 2 0 0

No. 5
Theoretical XRD peak list of In9Ag2Sn for Cu Kα (weighted mean of Kα1 and Kα2), from a DFT-relaxed cell (PBE, Alexandria).
Peak positions follow from Bragg's law for the DFT cell and can differ from measured ones.

Cell and atoms:
Cell: 13.3260 13.3260 7.0008 Å, 90.00 90.00 90.00°
Space group I4_1/amd (No. 141, origin choice 2)
One atom of each set of equivalent atoms:
In 0.0000 0.2500 0.3750 [4 per cell]
In 0.1218 0.0821 0.1428 [32 per cell]
Ag 0.0000 0.0000 0.5000 [8 per cell]
Sn 0.0000 0.2500 0.8750 [4 per cell]

Principal peaks in the range 10 to 80 degrees two-theta, by angle:
2θ = 27.29°, I 17, hkl 3 2 1; 2θ = 29.99°, I 28, hkl 4 2 0; 2θ = 33.27°, I 100, hkl 3 1 2; 2θ = 36.06°, I 45, hkl 5 0 1; 2θ = 38.20°, I 27, hkl 4 4 0; 2θ = 43.25°, I 17, hkl 6 1 1

No. 6
Theoretical XRD peak list of PuUGa for Cu Kα (weighted mean of Kα1 and Kα2), from a DFT-relaxed cell (PBE, Alexandria).
Peak positions follow from Bragg's law for the DFT cell and can differ from measured ones.

Cell and atoms:
Cell: 3.8138 3.8138 8.8557 Å, 90.00 90.00 90.00°
Space group I4mm (No. 107)
One atom of each set of equivalent atoms:
Pu 0.0000 0.0000 0.0000 [2 per cell]
U 0.0000 0.0000 0.6826 [2 per cell]
Ga 0.0000 0.0000 0.3404 [2 per cell]

Principal peaks in the range 10 to 80 degrees two-theta, by angle:
2θ = 25.43°, I 32, hkl 1 0 1; 2θ = 33.22°, I 76, hkl 1 1 0; 2θ = 38.57°, I 100, hkl 1 0 3; 2θ = 47.69°, I 28, hkl 2 0 0; 2θ = 62.94°, I 55, hkl 2 1 3; 2θ = 73.09°, I 15, hkl 1 1 6